Starting from a crystal structure in Alexandria, relaxed with GGA+U, the powder XRD pattern of NdTi3FeCu3O12 was calculated for Cu Kα (weighted mean of Kα1 and Kα2).
Neutral-atom scattering factors, no anomalous dispersion.

The 10 most intense peaks (2θ from 15° to 90°), low angle first:
16.71 deg, I = 13, hkl 1 1 0
23.71 deg, I = 7, hkl 0 2 1
33.78 deg, I = 100, hkl 2 0 2
37.91 deg, I = 10, hkl 1 2 2
41.69 deg, I = 9, hkl 4 0 1
45.21 deg, I = 10, hkl 4 1 0
48.52 deg, I = 27, hkl 0 4 2
60.43 deg, I = 48, hkl 6 -2 2
71.06 deg, I = 13, hkl 4 4 0
81.04 deg, I = 16, hkl 2 6 2

Cell and atoms:
a = 10.6179 Å, b = 10.6179 Å, c = 6.4932 Å
α = 90.00°, β = 90.00°, γ = 120.00°
Space group R-3 (No. 148, hexagonal axes)
One atom of each set of equivalent atoms:
Nd: 0.0000 0.0000 0.0000
Ti: 0.0000 0.5000 0.5000
Fe: 0.0000 0.0000 0.5000
Cu: 0.0000 0.5000 0.0000
O: 0.0176 0.8552 0.6867
O: 0.0414 0.7828 0.0836